The following is a computed powder XRD pattern of Tb7Pr12Nd2. It was derived from a cell relaxed with PBE, using λ = 1.5418 Å (Cu Kα).
Lines closer than 0.1° are merged.

Most intense lines, 5° ≤ 2θ ≤ 70°, low angle first:
Position (°2θ)	Rel. int.
30.51	76
30.95	100
32.00	8
34.83	12
44.01	22
50.49	9
54.78	24
55.06	17
60.41	30
64.51	10

Crystal structure
```
data_Tb7Pr12Nd2
_chemical_formula_sum 'Tb7 Pr12 Nd2'
_cell_length_a 15.287
_cell_length_b 15.287
_cell_length_c 3.615
_cell_angle_alpha 90.00
_cell_angle_beta 90.00
_cell_angle_gamma 120.00
_space_group_name_H-M_alt 'P 1'
_space_group_IT_number 1
loop_
_space_group_symop_operation_xyz
'x,y,z'
loop_
_atom_site_label
_atom_site_fract_x
_atom_site_fract_y
_atom_site_fract_z
_atom_site_occupancy
Tb1 0.000 0.000 0.000 1
Tb2 0.145 0.712 0.500 1
Tb3 0.288 0.433 0.500 1
Tb4 0.431 0.144 0.000 1
Tb5 0.567 0.855 0.500 1
Tb6 0.713 0.569 0.000 1
Tb7 0.856 0.287 0.000 1
Pr1 0.070 0.252 0.000 1
Pr2 0.080 0.465 0.500 1
Pr3 0.182 0.930 0.000 1
Pr4 0.236 0.172 0.500 1
Pr5 0.385 0.920 0.500 1
Pr6 0.461 0.378 0.000 1
Pr7 0.535 0.615 0.500 1
Pr8 0.622 0.083 0.000 1
Pr9 0.748 0.818 0.000 1
Pr10 0.828 0.064 0.500 1
Pr11 0.917 0.539 0.000 1
Pr12 0.936 0.764 0.500 1
Nd1 0.333 0.667 0.000 1
Nd2 0.667 0.333 0.500 1
```

The following is a computed powder XRD pattern of HoTiCo4. It was derived from a cell relaxed with PBE, using λ = 1.5418 Å (Cu Kα).
Lines closer than 0.1° are merged.

Most intense lines, 5° ≤ 2θ ≤ 70°, low angle first:
Position (°2θ)	Rel. int.
22.28	16
25.78	17
36.78	44
43.42	100
45.46	27
58.18	4
59.84	7
66.24	15

Crystal structure
```
data_HoTiCo4
_chemical_formula_sum 'Ho1 Ti1 Co4'
_cell_length_a 4.887
_cell_length_b 4.887
_cell_length_c 4.887
_cell_angle_alpha 60.00
_cell_angle_beta 60.00
_cell_angle_gamma 60.00
_space_group_name_H-M_alt 'P 1'
_space_group_IT_number 1
loop_
_space_group_symop_operation_xyz
'x,y,z'
loop_
_atom_site_label
_atom_site_fract_x
_atom_site_fract_y
_atom_site_fract_z
_atom_site_occupancy
Ho1 0.000 0.000 0.000 1
Ti1 0.750 0.750 0.750 1
Co1 0.375 0.375 0.375 1
Co2 0.375 0.375 0.874 1
Co3 0.375 0.874 0.375 1
Co4 0.874 0.375 0.375 1
```

The following is a computed powder XRD pattern of FeTeAu2. It was derived from a cell relaxed with PBE, using λ = 1.5418 Å (Cu Kα).
Lines closer than 0.1° are merged.

Most intense lines, 5° ≤ 2θ ≤ 70°, low angle first:
Position (°2θ)	Rel. int.
12.36	59
27.09	23
31.85	18
34.84	100
38.24	31
40.28	43
40.40	42
48.30	19
48.61	18
49.17	23

Crystal structure
```
data_FeTeAu2
_chemical_formula_sum 'Fe1 Te1 Au2'
_cell_length_a 3.046
_cell_length_b 3.706
_cell_length_c 7.160
_cell_angle_alpha 90.00
_cell_angle_beta 90.35
_cell_angle_gamma 90.00
_space_group_name_H-M_alt 'P 1'
_space_group_IT_number 1
loop_
_space_group_symop_operation_xyz
'x,y,z'
loop_
_atom_site_label
_atom_site_fract_x
_atom_site_fract_y
_atom_site_fract_z
_atom_site_occupancy
Fe1 0.000 0.000 0.000 1
Te1 0.993 0.500 0.277 1
Au1 0.499 0.500 0.826 1
Au2 0.998 0.000 0.603 1
```